Structure and calculated X-ray diffraction stick pattern of CuReO4 (a GGA-PBE-relaxed structure; λ = 1.5418 Å (Cu Kα)).
Neutral-atom scattering factors, no anomalous dispersion.

The 12 most intense peaks (15° ≤ 2θ ≤ 90°), in order of falling intensity:
2θ 23.28, d 3.820, intensity 100, hkl 0 1 2; 2θ 25.59, d 3.481, intensity 94, hkl 0 2 -2; 2θ 22.38, d 3.972, intensity 58, hkl 1 -2 0; 2θ 25.91, d 3.439, intensity 40, hkl 2 0 -1; 2θ 31.94, d 2.802, intensity 37, hkl 2 1 0; 2θ 26.06, d 3.419, intensity 35, hkl -2 1 1; 2θ 33.14, d 2.703, intensity 31, hkl 2 -2 1; 2θ 19.26, d 4.607, intensity 31, hkl 1 0 -2; 2θ 18.77, d 4.726, intensity 30, hkl 1 0 1; 2θ 35.67, d 2.517, intensity 27, hkl 0 3 1; 2θ 52.19, d 1.753, intensity 26, hkl -4 1 2; 2θ 26.96, d 3.307, intensity 25, hkl 1 2 -1

Structure:
a b c (Å): 7.026 8.614 10.148
angles (deg): 97.29 106.51 101.68
Fractional coordinates of all 36 atoms:
Cu  0.034  0.112  0.267
Cu  0.250  0.695  0.912
Cu  0.458  0.296  0.519
Cu  0.542  0.704  0.481
Cu  0.750  0.305  0.088
Cu  0.966  0.888  0.733
Re  0.001  0.723  0.392
Re  0.300  0.412  0.154
Re  0.496  0.970  0.753
Re  0.504  0.030  0.247
Re  0.700  0.588  0.846
Re  0.999  0.277  0.608
O  0.003  0.102  0.683
O  0.059  0.278  0.137
O  0.095  0.452  0.739
O  0.145  0.284  0.490
O  0.250  0.563  0.057
O  0.256  0.730  0.489
O  0.263  0.862  0.773
O  0.344  0.919  0.083
O  0.361  0.154  0.315
O  0.432  0.507  0.332
O  0.438  0.106  0.641
O  0.456  0.309  0.087
O  0.544  0.691  0.913
O  0.562  0.894  0.359
O  0.568  0.493  0.668
O  0.639  0.846  0.685
O  0.656  0.081  0.917
O  0.737  0.138  0.227
O  0.744  0.270  0.511
O  0.750  0.437  0.943
O  0.855  0.716  0.510
O  0.905  0.548  0.261
O  0.941  0.722  0.863
O  0.997  0.898  0.317